1.
Gd5P: calculated powder diffractogram (copper Kα), based on a cell relaxed with PBE.
No peak broadening, texture or thermal motion is included.

Cell and atoms:
```
12
Lattice="3.1575 -5.4670 0.0000 3.1575 5.4670 0.0000 0.0000 0.0000 11.6245" Properties=species:S:1:pos:R:3 pbc="T T T"
Gd 1.5632 0.9174 8.7184
Gd 3.1575 3.6447 6.0613
Gd 3.1575 3.6447 11.3755
Gd 1.5632 -0.9174 2.9061
Gd 3.1575 1.8430 2.9061
Gd 3.1575 -1.8430 8.7184
Gd 4.7517 0.9174 8.7184
Gd 3.1575 -3.6447 0.2490
Gd 3.1575 -3.6447 5.5632
Gd 4.7517 -0.9174 2.9061
P 3.1575 3.6359 8.7184
P 3.1575 -3.6359 2.9061
```

The 8 most intense peaks (15 to 90 degrees two-theta), low angle first:
- 22.32 deg, I 55
- 28.24 deg, I 47
- 30.77 deg, I 57
- 32.27 deg, I 92
- 32.76 deg, I 40
- 33.68 deg, I 100
- 51.61 deg, I 49
- 67.53 deg, I 36

---

2.
HfCdCuBi: calculated powder diffractogram (copper Kα), based on a cell relaxed with PBE.
No peak broadening, texture or thermal motion is included.

Cell and atoms:
```
4
Lattice="0.0000 3.4898 3.4898 3.4898 0.0000 3.4898 3.4898 3.4898 0.0000" Properties=species:S:1:pos:R:3 pbc="T T T"
Hf 0.0000 0.0000 0.0000
Cd 1.7449 1.7449 1.7449
Cu 3.4898 3.4898 3.4898
Bi 5.2348 5.2348 5.2348
```

The 8 most intense peaks (15 to 90 degrees two-theta), low angle first:
- 22.06 deg, I 14
- 36.41 deg, I 100
- 42.98 deg, I 8
- 52.44 deg, I 18
- 57.56 deg, I 4
- 65.52 deg, I 36
- 77.34 deg, I 11
- 88.62 deg, I 16